1.
Simulated powder diffractogram of Ga2S13 for Cu Kα (weighted mean of Kα1 and Kα2), from a structure optimized by DFT (PBE).
Neutral-atom scattering factors, no anomalous dispersion.

Most intense lines, 2θ = 10–90°, in order of rising 2θ:
(1 0 1), 15.3 deg, intensity 74; (0 0 6), 19.8 deg, intensity 89; (1 0 4), 20.0 deg, intensity 87; (1 1 0), 26.1 deg, intensity 27; (0 1 8), 30.6 deg, intensity 84; (0 2 7), 38.4 deg, intensity 44; (2 1 1), 40.5 deg, intensity 100; (1 2 5), 43.8 deg, intensity 31

Structure:
```
data_Ga2S13
_cell_length_a 6.8358
_cell_length_b 6.8358
_cell_length_c 26.8613
_cell_angle_alpha 90.00
_cell_angle_beta 90.00
_cell_angle_gamma 120.00
_space_group_name_H-M_alt 'R -3 m'
_space_group_IT_number 166
_space_group_name_Hall '-R 3 2"'
loop_
_atom_site_label
_atom_site_type_symbol
_atom_site_fract_x
_atom_site_fract_y
_atom_site_fract_z
Ga1 Ga 0.0000 0.0000 0.1043
S1 S 0.0000 0.0000 0.0000
S2 S 0.0391 0.5196 0.4308
S3 S 0.1053 0.2107 0.6183
```

=====

2.
Simulated powder diffractogram of Pr4SnAs2 for Cu Kα (weighted mean of Kα1 and Kα2), from a structure optimized by DFT (PBE).
Neutral-atom scattering factors, no anomalous dispersion.

Most intense lines, 2θ = 10–90°, in order of rising 2θ:
(3 0 1), 30.2 deg, intensity 100; (1 0 3), 30.6 deg, intensity 55; (3 2 1), 35.9 deg, intensity 40; (3 1 2), 36.0 deg, intensity 38; (2 1 3), 36.2 deg, intensity 18; (4 3 1), 49.7 deg, intensity 16; (3 1 4), 50.1 deg, intensity 16; (6 1 1), 61.1 deg, intensity 17

Structure:
```
data_Pr4SnAs2
_cell_length_a 9.361
_cell_length_b 9.361
_cell_length_c 9.237
_cell_angle_alpha 90.00
_cell_angle_beta 90.00
_cell_angle_gamma 90.00
_space_group_name_H-M_alt 'I -4 2 d'
_space_group_IT_number 122
_space_group_name_Hall 'I -4 2bw'
loop_
_atom_site_label
_atom_site_type_symbol
_atom_site_fract_x
_atom_site_fract_y
_atom_site_fract_z
Pr1 Pr 0.064 0.175 0.315
Sn1 Sn 0.000 0.000 0.000
As1 As 0.130 0.250 0.625
```

=====

3.
Simulated powder diffractogram of Ac6Ir2PbBr3 for Cu Kα (weighted mean of Kα1 and Kα2), from a structure optimized by DFT (PBE).
Neutral-atom scattering factors, no anomalous dispersion.

Most intense lines, 2θ = 10–90°, in order of rising 2θ:
(2 0 -1), 10.9 deg, intensity 35; (1 1 -2), 27.0 deg, intensity 100; (3 1 -3), 34.3 deg, intensity 12; (2 0 -4), 36.7 deg, intensity 10; (7 1 -2), 37.7 deg, intensity 20; (5 1 2), 39.4 deg, intensity 23; (0 2 0), 40.2 deg, intensity 14; (6 2 0), 49.1 deg, intensity 13

Structure:
```
data_Ac6Ir2PbBr3
_cell_length_a 20.749
_cell_length_b 4.488
_cell_length_c 9.807
_cell_angle_alpha 90.00
_cell_angle_beta 107.32
_cell_angle_gamma 90.00
_space_group_name_H-M_alt 'C 1 2/m 1'
_space_group_IT_number 12
loop_
_space_group_symop_operation_xyz
'x,y,z'
'-x,-y,-z'
'-x,y,-z'
'x,-y,z'
'x+1/2,y+1/2,z'
'-x+1/2,-y+1/2,-z'
'-x+1/2,y+1/2,-z'
'x+1/2,-y+1/2,z'
loop_
_atom_site_label
_atom_site_type_symbol
_atom_site_fract_x
_atom_site_fract_y
_atom_site_fract_z
Ac1 Ac 0.023 0.000 0.256
Ac2 Ac 0.168 0.500 0.135
Ac3 Ac 0.181 0.500 0.553
Ir1 Ir 0.171 0.000 0.342
Pb1 Pb 0.000 0.500 0.000
Br1 Br 0.000 0.500 0.500
Br2 Br 0.162 0.000 0.845
```

=====

4.
Simulated powder diffractogram of LuFe4Hg for Cu Kα (weighted mean of Kα1 and Kα2), from a structure optimized by DFT (PBE).
Neutral-atom scattering factors, no anomalous dispersion.

Most intense lines, 2θ = 10–90°, in order of rising 2θ:
(1 1 1), 21.6 deg, intensity 26; (2 2 0), 35.7 deg, intensity 76; (3 1 1), 42.1 deg, intensity 100; (2 2 2), 44.1 deg, intensity 11; (4 2 2), 64.1 deg, intensity 28; (5 1 1), 68.5 deg, intensity 31; (4 4 0), 75.5 deg, intensity 22; (6 2 0), 86.4 deg, intensity 13

Structure:
```
data_LuFe4Hg
_cell_length_a 7.121
_cell_length_b 7.121
_cell_length_c 7.121
_cell_angle_alpha 90.00
_cell_angle_beta 90.00
_cell_angle_gamma 90.00
_space_group_name_H-M_alt 'F -4 3 m'
_space_group_IT_number 216
_space_group_name_Hall 'F -4 2 3'
loop_
_atom_site_label
_atom_site_type_symbol
_atom_site_fract_x
_atom_site_fract_y
_atom_site_fract_z
Lu1 Lu 0.000 0.000 0.000
Fe1 Fe 0.126 0.126 0.626
Hg1 Hg 0.250 0.250 0.250
```

=====

5.
Simulated powder diffractogram of Na2Cd3In3 for Cu Kα (weighted mean of Kα1 and Kα2), from a structure optimized by DFT (PBE).
Neutral-atom scattering factors, no anomalous dispersion.

Most intense lines, 2θ = 10–90°, in order of rising 2θ:
(1 1 0), 19.9 deg, intensity 52; (2 0 2), 30.3 deg, intensity 10; (2 1 1), 32.1 deg, intensity 27; (3 0 0), 34.7 deg, intensity 65; (1 1 3), 35.8 deg, intensity 100; (2 2 3), 50.8 deg, intensity 23; (4 1 3), 63.0 deg, intensity 18; (3 0 6), 72.4 deg, intensity 11

Structure:
```
data_Na2Cd3In3
_cell_length_a 8.9454
_cell_length_b 8.9454
_cell_length_c 9.0797
_cell_angle_alpha 90.00
_cell_angle_beta 90.00
_cell_angle_gamma 120.00
_space_group_name_H-M_alt 'R 3 2'
_space_group_IT_number 155
_space_group_name_Hall 'R 3 2"'
loop_
_atom_site_label
_atom_site_type_symbol
_atom_site_fract_x
_atom_site_fract_y
_atom_site_fract_z
Na1 Na 0.0000 0.0000 0.2292
Cd1 Cd 0.0000 0.3033 0.0000
In1 In 0.0000 0.7137 0.5000
```

=====

6.
Simulated powder diffractogram of AlGa5Ag3 for Cu Kα (weighted mean of Kα1 and Kα2), from a structure optimized by DFT (PBE).
Neutral-atom scattering factors, no anomalous dispersion.

Most intense lines, 2θ = 10–90°, in order of rising 2θ:
(2 0 0), 18.4 deg, intensity 85; (0 2 0), 19.5 deg, intensity 100; (1 1 -3), 33.2 deg, intensity 63; (2 2 -3), 36.0 deg, intensity 62; (0 4 0), 39.7 deg, intensity 84; (5 1 -3), 41.9 deg, intensity 58; (4 2 0), 42.5 deg, intensity 90; (1 3 -3), 43.8 deg, intensity 48

Structure:
```
data_AlGa5Ag3
_cell_length_a 11.479
_cell_length_b 9.089
_cell_length_c 8.947
_cell_angle_alpha 90.00
_cell_angle_beta 123.03
_cell_angle_gamma 90.00
_space_group_name_H-M_alt 'C 1 2/m 1'
_space_group_IT_number 12
loop_
_space_group_symop_operation_xyz
'x,y,z'
'-x,-y,-z'
'-x,y,-z'
'x,-y,z'
'x+1/2,y+1/2,z'
'-x+1/2,-y+1/2,-z'
'-x+1/2,y+1/2,-z'
'x+1/2,-y+1/2,z'
loop_
_atom_site_label
_atom_site_type_symbol
_atom_site_fract_x
_atom_site_fract_y
_atom_site_fract_z
Al1 Al 0.226 0.000 0.322
Ga1 Ga 0.000 0.277 0.000
Ga2 Ga 0.114 0.273 0.421
Ga3 Ga 0.228 0.000 0.997
Ga4 Ga 0.237 0.000 0.676
Ag1 Ag 0.000 0.000 0.000
Ag2 Ag 0.000 0.500 0.500
Ag3 Ag 0.002 0.000 0.666
Ag4 Ag 0.007 0.500 0.820
```